Entry 1:
Structure and theoretical powder XRD pattern of ScNi6Ge6 (a cell relaxed with PBE; λ = 1.5418 Å (Cu Kα)).
Neutral-atom scattering factors, no anomalous dispersion.

```
data_ScNi6Ge6
_chemical_formula_sum 'Sc4 Ni24 Ge24'
_cell_length_a 10.2123
_cell_length_b 10.2123
_cell_length_c 7.8256
_cell_angle_alpha 90.00
_cell_angle_beta 90.00
_cell_angle_gamma 120.00
_symmetry_space_group_name_H-M 'P 6/m m m'
_symmetry_Int_Tables_number 191
_symmetry_space_group_name_Hall '-P 6 2'
loop_
_atom_site_label
_atom_site_type_symbol
_atom_site_fract_x
_atom_site_fract_y
_atom_site_fract_z
_atom_site_occupancy
Sc1 Sc 0.0000 0.0000 0.0000 1
Sc2 Sc 0.0000 0.5000 0.5000 1
Ni1 Ni 0.0000 0.2497 0.2527 1
Ni2 Ni 0.2499 0.4999 0.2482 1
Ge1 Ge 0.0000 0.0000 0.3421 1
Ge2 Ge 0.0000 0.5000 0.1596 1
Ge3 Ge 0.1661 0.3323 0.0000 1
Ge4 Ge 0.1677 0.3354 0.5000 1
Ge5 Ge 0.3333 0.6667 0.0000 1
Ge6 Ge 0.3333 0.6667 0.5000 1
```

Most intense lines, 2θ = 15–90°, sorted by position:
two_theta	Rel. int.	h k l
35.2	50	2 2 0
40.8	47	4 0 0
42.3	76	2 2 2
46.4	26	0 0 4
47.2	100	4 0 2
51.1	34	2 0 4
68.0	17	6 0 2
74.3	30	4 4 0
74.7	19	4 2 4
83.2	22	2 2 6



Entry 2:
Structure and theoretical powder XRD pattern of LiI (a cell relaxed with PBE; λ = 1.5418 Å (Cu Kα)).
Neutral-atom scattering factors, no anomalous dispersion.

```
data_LiI
_chemical_formula_sum 'Li2 I2'
_cell_length_a 4.5661
_cell_length_b 4.5661
_cell_length_c 7.4236
_cell_angle_alpha 90.00
_cell_angle_beta 90.00
_cell_angle_gamma 120.00
_symmetry_space_group_name_H-M 'P 63 m c'
_symmetry_Int_Tables_number 186
_symmetry_space_group_name_Hall 'P 6c -2c'
loop_
_atom_site_label
_atom_site_type_symbol
_atom_site_fract_x
_atom_site_fract_y
_atom_site_fract_z
_atom_site_occupancy
Li1 Li 0.3333 0.6667 0.0000 1
I1 I 0.3333 0.6667 0.3759 1
```

Most intense lines, 2θ = 15–90°, sorted by position:
two_theta	Rel. int.	h k l
22.5	26	1 0 0
24.0	28	0 0 2
25.5	100	1 0 1
33.1	18	1 0 2
39.5	24	1 1 0
43.1	27	1 0 3
46.7	27	1 1 2
47.6	18	2 0 1
63.5	15	2 1 1
74.1	11	2 1 3